Simulated X-ray diffraction stick pattern
Compound: Li6Mn5FeB6O18
Radiation: CuKα
Structure: the GGA+U geometry in the Materials Project

Most intense lines, 2θ from 10° to 90°, low angle first:
- 2θ 21.49, I = 100
- 2θ 30.73, I = 18
- 2θ 33.09, I = 18
- 2θ 35.58, I = 82
- 2θ 37.67, I = 33
- 2θ 43.78, I = 15
- 2θ 47.60, I = 29
- 2θ 52.77, I = 17
- 2θ 54.42, I = 13
- 2θ 57.92, I = 12

Atomic structure:
Lattice parameters (Å, degrees): 8.8544 8.8544 8.2758 117.76 117.76 42.15
Fractional positions:
Li (0.0429, 0.5417, 0.3184)
Li (0.2494, 0.7506, 0.0000)
Li (0.3826, 0.8834, 0.5854)
Li (0.5417, 0.0429, 0.3184)
Li (0.7506, 0.2494, 0.0000)
Li (0.8834, 0.3826, 0.5854)
Mn (0.3217, 0.3217, 0.6732)
Mn (0.4560, 0.4560, 0.2897)
Mn (0.6478, 0.6478, 0.9428)
Mn (0.8212, 0.8212, 0.6727)
Mn (0.9559, 0.9559, 0.2899)
Fe (0.1459, 0.1459, 0.9416)
B (0.0589, 0.5566, 0.9681)
B (0.1427, 0.1427, 0.3012)
B (0.2235, 0.7275, 0.6359)
B (0.5566, 0.0589, 0.9681)
B (0.6417, 0.6417, 0.3018)
B (0.7275, 0.2235, 0.6359)
O (0.0042, 0.4991, 0.0496)
O (0.0173, 0.5166, 0.7746)
O (0.0864, 0.0864, 0.1068)
O (0.1023, 0.1023, 0.4139)
O (0.1543, 0.6553, 0.0795)
O (0.1714, 0.6717, 0.7215)
O (0.1824, 0.6828, 0.4426)
O (0.2394, 0.2394, 0.3809)
O (0.3183, 0.8266, 0.7439)
O (0.4991, 0.0042, 0.0496)
O (0.5166, 0.0173, 0.7746)
O (0.5839, 0.5839, 0.1084)
O (0.6027, 0.6027, 0.4174)
O (0.6553, 0.1543, 0.0795)
O (0.6717, 0.1714, 0.7215)
O (0.6828, 0.1824, 0.4426)
O (0.7386, 0.7386, 0.3796)
O (0.8266, 0.3183, 0.7439)